The following is a calculated powder X-ray diffraction pattern of Sc6AuO12. It was derived from DFT lattice parameters and positions (GGA-PBE), using Cu Kα (weighted mean of Kα1 and Kα2).

Atomic structure:
```
Sc6AuO12
1.0
4.675 2.699 2.926
-4.675 2.699 2.926
0.000 -5.398 2.926
Sc Au O
6 1 12
direct
0.109 0.812 0.642
0.188 0.358 0.891
0.358 0.891 0.188
0.642 0.109 0.812
0.812 0.642 0.109
0.891 0.188 0.358
0.500 0.500 0.500
0.072 0.917 0.321
0.083 0.679 0.928
0.181 0.428 0.554
0.321 0.072 0.917
0.428 0.554 0.181
0.446 0.819 0.572
0.554 0.181 0.428
0.572 0.446 0.819
0.679 0.928 0.083
0.819 0.572 0.446
0.917 0.321 0.072
0.928 0.083 0.679
```

Largest 10 diffraction maxima, by intensity, 2θ = 10–90°:
- 30.94 deg, I 100.0
- 14.88 deg, I 51.7
- 23.05 deg, I 37.0
- 51.22 deg, I 35.5
- 51.73 deg, I 35.2
- 35.77 deg, I 28.5
- 30.55 deg, I 27.3
- 24.21 deg, I 25.9
- 61.28 deg, I 23.0
- 18.98 deg, I 17.5